This entry pairs a crystal structure of GdY2Cu4Sn2Ge2 with its simulated X-ray powder pattern. Radiation: Cu Kα, 1.54184 Å. Structure: a DFT-relaxed cell (GGA-PBE, OQMD).
Neutral-atom scattering factors, no anomalous dispersion.

Cell and atoms:
abc: 8.268 8.268 8.268
angles: 149.80 130.16 59.39
Fractional positions:
Gd 0.000 0.000 0.000
Y 0.365 0.865 0.500
Y 0.635 0.135 0.500
Cu 0.011 0.323 0.687
Cu 0.364 0.677 0.687
Cu 0.636 0.323 0.313
Cu 0.989 0.677 0.313
Sn 0.299 0.500 0.799
Sn 0.701 0.500 0.201
Ge 0.217 0.217 0.000
Ge 0.783 0.783 0.000

Largest 12 diffraction maxima, by intensity, 2θ = 10–90°:
- d 2.661, I 100
- d 2.565, I 61
- d 2.154, I 33
- d 1.971, I 32
- d 2.089, I 26
- d 2.393, I 26
- d 1.500, I 17
- d 3.264, I 13
- d 1.244, I 12
- d 1.967, I 12
- d 1.601, I 12
- d 1.322, I 9